This entry pairs a crystal structure of NaNd3GeS7 with its calculated PXRD pattern. Radiation: λ = 1.5418 Å (Cu Kα). Structure: DFT lattice parameters and positions (GGA-PBE).
Kinematic intensities with the Lorentz-polarization factor, no thermal factor.

The 10 most intense peaks (2θ from 5° to 70°), most intense first:
2θ (°), I (rel.)
25.09, 100
34.85, 38
36.67, 34
36.32, 34
19.91, 32
39.54, 32
22.98, 30
40.78, 28
47.00, 26
26.45, 23

Atomic structure:
a = 10.2967 Å, b = 10.2967 Å, c = 5.8672 Å
α = 90.00°, β = 90.00°, γ = 120.00°
Space group P6_3 (No. 173)
One atom of each set of equivalent atoms:
1 Na 0.0000 0.0000 0.0000 (multiplicity 2)
2 Nd 0.1302 0.3609 0.2717 (multiplicity 6)
3 Ge 0.3333 0.6667 0.8545 (multiplicity 2)
4 S 0.0943 0.2590 0.7468 (multiplicity 6)
5 S 0.1055 0.5853 0.0099 (multiplicity 6)
6 S 0.3333 0.6667 0.4781 (multiplicity 2)

---

This entry pairs a crystal structure of Sr3AsP with its calculated PXRD pattern. Radiation: λ = 1.5418 Å (Cu Kα). Structure: DFT lattice parameters and positions (GGA-PBE).
Kinematic intensities with the Lorentz-polarization factor, no thermal factor.

The 10 most intense peaks (2θ from 5° to 70°), most intense first:
2θ (°), I (rel.)
30.89, 100
44.25, 73
15.30, 69
26.67, 67
34.64, 38
52.41, 30
54.93, 25
47.09, 20
64.36, 12
66.59, 11

Atomic structure:
a = 5.790 Å, b = 5.790 Å, c = 5.790 Å
α = 90.00°, β = 90.00°, γ = 90.00°
Space group Pm-3m (No. 221)
One atom of each set of equivalent atoms:
1 Sr 0.000 0.000 0.500 (multiplicity 3)
2 As 0.000 0.000 0.000 (multiplicity 1)
3 P 0.500 0.500 0.500 (multiplicity 1)

---

This entry pairs a crystal structure of SrUSe2O8 with its calculated PXRD pattern. Radiation: λ = 1.5418 Å (Cu Kα). Structure: DFT lattice parameters and positions (GGA-PBE).
Kinematic intensities with the Lorentz-polarization factor, no thermal factor.

The 10 most intense peaks (2θ from 5° to 70°), most intense first:
2θ (°), I (rel.)
25.07, 100
28.91, 76
21.06, 75
17.03, 60
28.77, 50
24.86, 39
14.18, 36
26.20, 30
24.43, 25
18.18, 25

Atomic structure:
a = 5.812 Å, b = 6.889 Å, c = 11.473 Å
α = 104.77°, β = 94.04°, γ = 109.43°
Space group P-1 (No. 2)
One atom of each set of equivalent atoms:
1 Sr 0.168 0.249 0.437 (multiplicity 2)
2 U 0.331 0.737 0.837 (multiplicity 2)
3 Se 0.199 0.191 0.878 (multiplicity 2)
4 Se 0.228 0.692 0.342 (multiplicity 2)
5 O 0.060 0.521 0.659 (multiplicity 2)
6 O 0.063 0.665 0.911 (multiplicity 2)
7 O 0.174 0.894 0.443 (multiplicity 2)
8 O 0.181 0.980 0.753 (multiplicity 2)
9 O 0.381 0.417 0.842 (multiplicity 2)
10 O 0.404 0.190 0.243 (multiplicity 2)
11 O 0.407 0.135 0.970 (multiplicity 2)
12 O 0.420 0.622 0.427 (multiplicity 2)